# Zr3Cu3Sb4
Simulated X-ray powder pattern, Cu Kα, 1.54184 Å. Input: a PBE-relaxed structure.
Kinematic intensities with the Lorentz-polarization factor, no thermal factor.

Main lines, in order of rising 2θ (5 to 70 degrees two-theta):
| two_theta | Rel. int. |
| --- | --- |
| 30.4 | 328 |
| 36.1 | 1000 |
| 43.5 | 231 |
| 47.9 | 180 |
| 50.0 | 139 |
| 61.4 | 93 |
| 63.2 | 105 |
| 68.3 | 87 |

Atomic structure:
```
data_Zr3Cu3Sb4
_chemical_formula_sum 'Zr6 Cu6 Sb8'
_space_group_name_H-M_alt 'P 1'
_space_group_IT_number 1
_cell_length_a 8.063
_cell_length_b 8.063
_cell_length_c 8.063
_cell_angle_alpha 109.47
_cell_angle_beta 109.47
_cell_angle_gamma 109.47
loop_
_space_group_symop_operation_xyz
'x,y,z'
loop_
_atom_site_label
_atom_site_type_symbol
_atom_site_fract_x
_atom_site_fract_y
_atom_site_fract_z
Zr1 Zr 0.125 0.750 0.875
Zr2 Zr 0.250 0.625 0.375
Zr3 Zr 0.375 0.250 0.625
Zr4 Zr 0.625 0.375 0.250
Zr5 Zr 0.750 0.875 0.125
Zr6 Zr 0.875 0.125 0.750
Cu1 Cu 0.125 0.875 0.250
Cu2 Cu 0.250 0.125 0.875
Cu3 Cu 0.375 0.625 0.750
Cu4 Cu 0.625 0.750 0.375
Cu5 Cu 0.750 0.375 0.625
Cu6 Cu 0.875 0.250 0.125
Sb1 Sb 0.000 0.328 0.500
Sb2 Sb 0.000 0.828 0.500
Sb3 Sb 0.172 0.172 0.172
Sb4 Sb 0.328 0.500 0.000
Sb5 Sb 0.500 0.000 0.328
Sb6 Sb 0.500 0.000 0.828
Sb7 Sb 0.672 0.672 0.672
Sb8 Sb 0.828 0.500 0.000
```

***

# Sc3Cu8
Simulated X-ray powder pattern, Cu Kα, 1.54184 Å. Input: a PBE-relaxed structure.
Kinematic intensities with the Lorentz-polarization factor, no thermal factor.

Main lines, in order of rising 2θ (5 to 70 degrees two-theta):
| two_theta | Rel. int. |
| --- | --- |
| 40.0 | 1000 |
| 40.7 | 947 |
| 45.1 | 354 |
| 46.7 | 293 |
| 48.9 | 277 |
| 65.8 | 95 |
| 68.7 | 180 |
| 69.9 | 157 |

Atomic structure:
```
data_Sc3Cu8
_chemical_formula_sum 'Sc3 Cu8'
_space_group_name_H-M_alt 'P 1'
_space_group_IT_number 1
_cell_length_a 4.717
_cell_length_b 4.717
_cell_length_c 10.304
_cell_angle_alpha 103.95
_cell_angle_beta 103.95
_cell_angle_gamma 46.48
loop_
_space_group_symop_operation_xyz
'x,y,z'
loop_
_atom_site_label
_atom_site_type_symbol
_atom_site_fract_x
_atom_site_fract_y
_atom_site_fract_z
Sc1 Sc 0.000 0.000 0.000
Sc2 Sc 0.106 0.106 0.645
Sc3 Sc 0.894 0.894 0.355
Cu1 Cu 0.163 0.163 0.268
Cu2 Cu 0.272 0.272 0.908
Cu3 Cu 0.366 0.366 0.545
Cu4 Cu 0.447 0.447 0.176
Cu5 Cu 0.553 0.553 0.824
Cu6 Cu 0.634 0.634 0.455
Cu7 Cu 0.728 0.728 0.092
Cu8 Cu 0.837 0.837 0.732
```

***

# Sc2Cu7
Simulated X-ray powder pattern, Cu Kα, 1.54184 Å. Input: a PBE-relaxed structure.
Kinematic intensities with the Lorentz-polarization factor, no thermal factor.

Main lines, in order of rising 2θ (5 to 70 degrees two-theta):
| two_theta | Rel. int. |
| --- | --- |
| 20.8 | 370 |
| 36.1 | 173 |
| 42.0 | 238 |
| 42.7 | 1000 |
| 44.7 | 312 |
| 46.7 | 387 |
| 49.1 | 206 |
| 69.5 | 214 |

Atomic structure:
```
data_Sc2Cu7
_chemical_formula_sum 'Sc4 Cu14'
_space_group_name_H-M_alt 'P 1'
_space_group_IT_number 1
_cell_length_a 12.499
_cell_length_b 12.499
_cell_length_c 12.499
_cell_angle_alpha 22.94
_cell_angle_beta 22.94
_cell_angle_gamma 22.94
loop_
_space_group_symop_operation_xyz
'x,y,z'
loop_
_atom_site_label
_atom_site_type_symbol
_atom_site_fract_x
_atom_site_fract_y
_atom_site_fract_z
Sc1 Sc 0.051 0.051 0.051
Sc2 Sc 0.148 0.148 0.148
Sc3 Sc 0.852 0.852 0.852
Sc4 Sc 0.949 0.949 0.949
Cu1 Cu 0.000 0.500 0.500
Cu2 Cu 0.108 0.613 0.613
Cu3 Cu 0.278 0.278 0.278
Cu4 Cu 0.387 0.387 0.892
Cu5 Cu 0.387 0.892 0.387
Cu6 Cu 0.389 0.389 0.389
Cu7 Cu 0.500 0.000 0.500
Cu8 Cu 0.500 0.500 0.000
Cu9 Cu 0.500 0.500 0.500
Cu10 Cu 0.611 0.611 0.611
Cu11 Cu 0.613 0.108 0.613
Cu12 Cu 0.613 0.613 0.108
Cu13 Cu 0.722 0.722 0.722
Cu14 Cu 0.892 0.387 0.387
```

***

# Sc2Cu4Se5
Simulated X-ray powder pattern, Cu Kα, 1.54184 Å. Input: a PBE-relaxed structure.
Kinematic intensities with the Lorentz-polarization factor, no thermal factor.

Main lines, in order of rising 2θ (5 to 70 degrees two-theta):
| two_theta | Rel. int. |
| --- | --- |
| 26.3 | 661 |
| 27.2 | 336 |
| 30.1 | 231 |
| 33.1 | 824 |
| 46.4 | 1000 |
| 48.8 | 605 |
| 54.6 | 229 |
| 69.6 | 199 |

Atomic structure:
```
data_Sc2Cu4Se5
_chemical_formula_sum 'Sc2 Cu4 Se5'
_space_group_name_H-M_alt 'P 1'
_space_group_IT_number 1
_cell_length_a 16.557
_cell_length_b 16.557
_cell_length_c 16.557
_cell_angle_alpha 13.58
_cell_angle_beta 13.58
_cell_angle_gamma 13.58
loop_
_space_group_symop_operation_xyz
'x,y,z'
loop_
_atom_site_label
_atom_site_type_symbol
_atom_site_fract_x
_atom_site_fract_y
_atom_site_fract_z
Sc1 Sc 0.134 0.134 0.134
Sc2 Sc 0.866 0.866 0.866
Cu1 Cu 0.315 0.315 0.315
Cu2 Cu 0.416 0.416 0.416
Cu3 Cu 0.584 0.584 0.584
Cu4 Cu 0.685 0.685 0.685
Se1 Se 0.231 0.231 0.231
Se2 Se 0.368 0.368 0.368
Se3 Se 0.500 0.500 0.500
Se4 Se 0.632 0.632 0.632
Se5 Se 0.769 0.769 0.769
```

***

# ScCuSe2
Simulated X-ray powder pattern, Cu Kα, 1.54184 Å. Input: a PBE-relaxed structure.
Kinematic intensities with the Lorentz-polarization factor, no thermal factor.

Main lines, in order of rising 2θ (5 to 70 degrees two-theta):
| two_theta | Rel. int. |
| --- | --- |
| 13.2 | 400 |
| 29.8 | 967 |
| 30.1 | 393 |
| 36.9 | 395 |
| 38.7 | 708 |
| 46.1 | 551 |
| 46.7 | 1000 |
| 50.6 | 682 |

Atomic structure:
```
data_ScCuSe2
_chemical_formula_sum 'Sc4 Cu4 Se8'
_space_group_name_H-M_alt 'P 1'
_space_group_IT_number 1
_cell_length_a 13.408
_cell_length_b 3.936
_cell_length_c 6.388
_cell_angle_alpha 90.00
_cell_angle_beta 90.00
_cell_angle_gamma 90.00
loop_
_space_group_symop_operation_xyz
'x,y,z'
loop_
_atom_site_label
_atom_site_type_symbol
_atom_site_fract_x
_atom_site_fract_y
_atom_site_fract_z
Sc1 Sc 0.129 0.250 0.023
Sc2 Sc 0.371 0.750 0.523
Sc3 Sc 0.629 0.250 0.477
Sc4 Sc 0.871 0.750 0.977
Cu1 Cu 0.049 0.750 0.375
Cu2 Cu 0.451 0.250 0.875
Cu3 Cu 0.549 0.750 0.125
Cu4 Cu 0.951 0.250 0.625
Se1 Se 0.047 0.750 0.762
Se2 Se 0.215 0.750 0.234
Se3 Se 0.285 0.250 0.734
Se4 Se 0.453 0.250 0.262
Se5 Se 0.547 0.750 0.738
Se6 Se 0.715 0.750 0.266
Se7 Se 0.785 0.250 0.766
Se8 Se 0.953 0.250 0.238
```

***

# Sc5CuSe8
Simulated X-ray powder pattern, Cu Kα, 1.54184 Å. Input: a PBE-relaxed structure.
Kinematic intensities with the Lorentz-polarization factor, no thermal factor.

Main lines, in order of rising 2θ (5 to 70 degrees two-theta):
| two_theta | Rel. int. |
| --- | --- |
| 26.5 | 290 |
| 27.7 | 685 |
| 32.1 | 818 |
| 42.1 | 201 |
| 46.1 | 1000 |
| 54.6 | 298 |
| 57.3 | 188 |
| 67.2 | 148 |

Atomic structure:
```
data_Sc5CuSe8
_chemical_formula_sum 'Sc5 Cu1 Se8'
_space_group_name_H-M_alt 'P 1'
_space_group_IT_number 1
_cell_length_a 7.880
_cell_length_b 7.880
_cell_length_c 7.880
_cell_angle_alpha 60.00
_cell_angle_beta 60.00
_cell_angle_gamma 60.00
loop_
_space_group_symop_operation_xyz
'x,y,z'
loop_
_atom_site_label
_atom_site_type_symbol
_atom_site_fract_x
_atom_site_fract_y
_atom_site_fract_z
Sc1 Sc 0.000 0.000 0.000
Sc2 Sc 0.143 0.619 0.619
Sc3 Sc 0.619 0.143 0.619
Sc4 Sc 0.619 0.619 0.143
Sc5 Sc 0.619 0.619 0.619
Cu1 Cu 0.250 0.250 0.250
Se1 Se 0.378 0.378 0.378
Se2 Se 0.378 0.378 0.866
Se3 Se 0.378 0.866 0.378
Se4 Se 0.400 0.867 0.867
Se5 Se 0.866 0.378 0.378
Se6 Se 0.867 0.400 0.867
Se7 Se 0.867 0.867 0.400
Se8 Se 0.867 0.867 0.867
```

***

# SrScCu2Se4
Simulated X-ray powder pattern, Cu Kα, 1.54184 Å. Input: a PBE-relaxed structure.
Kinematic intensities with the Lorentz-polarization factor, no thermal factor.

Main lines, in order of rising 2θ (5 to 70 degrees two-theta):
| two_theta | Rel. int. |
| --- | --- |
| 28.6 | 1000 |
| 30.6 | 313 |
| 33.5 | 206 |
| 34.8 | 205 |
| 37.0 | 771 |
| 46.4 | 248 |
| 48.4 | 277 |
| 48.6 | 286 |

Atomic structure:
```
data_SrScCu2Se4
_chemical_formula_sum 'Sr2 Sc2 Cu4 Se8'
_space_group_name_H-M_alt 'P 1'
_space_group_IT_number 1
_cell_length_a 6.671
_cell_length_b 7.105
_cell_length_c 8.126
_cell_angle_alpha 90.00
_cell_angle_beta 90.00
_cell_angle_gamma 90.00
loop_
_space_group_symop_operation_xyz
'x,y,z'
loop_
_atom_site_label
_atom_site_type_symbol
_atom_site_fract_x
_atom_site_fract_y
_atom_site_fract_z
Sr1 Sr 0.000 0.000 0.000
Sr2 Sr 0.500 0.500 0.500
Sc1 Sc 0.000 0.000 0.500
Sc2 Sc 0.500 0.500 0.000
Cu1 Cu 0.000 0.500 0.180
Cu2 Cu 0.000 0.500 0.820
Cu3 Cu 0.500 0.000 0.320
Cu4 Cu 0.500 0.000 0.680
Se1 Se 0.220 0.210 0.313
Se2 Se 0.220 0.790 0.687
Se3 Se 0.280 0.290 0.813
Se4 Se 0.280 0.710 0.187
Se5 Se 0.720 0.290 0.187
Se6 Se 0.720 0.710 0.813
Se7 Se 0.780 0.210 0.687
Se8 Se 0.780 0.790 0.313
```

***

# Tb2ScCuSe5
Simulated X-ray powder pattern, Cu Kα, 1.54184 Å. Input: a PBE-relaxed structure.
Kinematic intensities with the Lorentz-polarization factor, no thermal factor.

Main lines, in order of rising 2θ (5 to 70 degrees two-theta):
| two_theta | Rel. int. |
| --- | --- |
| 27.6 | 264 |
| 30.7 | 214 |
| 31.4 | 293 |
| 32.2 | 391 |
| 32.5 | 1000 |
| 34.6 | 329 |
| 37.9 | 585 |
| 46.0 | 334 |

Atomic structure:
```
data_Tb2ScCuSe5
_chemical_formula_sum 'Tb4 Sc2 Cu2 Se10'
_space_group_name_H-M_alt 'P 1'
_space_group_IT_number 1
_cell_length_a 8.800
_cell_length_b 8.800
_cell_length_c 11.873
_cell_angle_alpha 90.00
_cell_angle_beta 90.00
_cell_angle_gamma 154.09
loop_
_space_group_symop_operation_xyz
'x,y,z'
loop_
_atom_site_label
_atom_site_type_symbol
_atom_site_fract_x
_atom_site_fract_y
_atom_site_fract_z
Tb1 Tb 0.110 0.890 0.500
Tb2 Tb 0.126 0.874 0.121
Tb3 Tb 0.874 0.126 0.621
Tb4 Tb 0.890 0.110 0.000
Sc1 Sc 0.191 0.809 0.825
Sc2 Sc 0.809 0.191 0.325
Cu1 Cu 0.432 0.568 0.269
Cu2 Cu 0.568 0.432 0.769
Se1 Se 0.045 0.955 0.878
Se2 Se 0.286 0.714 0.482
Se3 Se 0.308 0.692 0.162
Se4 Se 0.353 0.647 0.815
Se5 Se 0.498 0.502 0.594
Se6 Se 0.502 0.498 0.094
Se7 Se 0.647 0.353 0.315
Se8 Se 0.692 0.308 0.662
Se9 Se 0.714 0.286 0.982
Se10 Se 0.955 0.045 0.378
```